HoErZn2: computed powder X-ray diffraction pattern (Cu Kα X-rays), based on a cell relaxed with GGA-PBE.
Intensities are scaled so that the largest is 1000.

Crystal structure
Cell lengths 7.087, 7.087, 7.087 Å; angles 90.00, 90.00, 90.00 degrees
Space group Fm-3m (No. 225)
Asymmetric unit:
1 Ho 0.000 0.000 0.000 [4 per cell]
2 Er 0.000 0.000 0.500 [4 per cell]
3 Zn 0.250 0.250 0.250 [8 per cell]

Top 8 peaks for 15° ≤ 2θ ≤ 90°, in order of rising 2θ:
h k l  d (Å)  I_rel
2 0 0  3.543  190
2 2 0  2.506  1000
2 2 2  2.046  58
4 0 0  1.772  176
4 2 0  1.585  80
4 2 2  1.447  356
4 4 0  1.253  109
6 2 0  1.121  157